Record 1
Structure and calculated X-ray diffraction stick pattern of Mg3PdAu5 (the PBE geometry in Alexandria; Cu Kα (weighted mean of Kα1 and Kα2)).
No peak broadening, texture or thermal motion is included.

```
18
Lattice="-4.0697 4.0697 5.3437 4.0697 -4.0697 5.3437 4.0697 4.0697 -5.3437" Properties=species:S:1:pos:R:3 pbc="T T T"
Mg 4.9982 0.9284 0.0000
Mg 0.0000 0.0000 2.6719
Mg 0.9284 3.1413 0.0000
Mg 3.1413 0.9284 5.3437
Mg 0.0000 0.0000 8.0156
Mg -0.9284 3.1413 5.3437
Pd 4.0697 0.0000 2.6719
Pd 0.0000 4.0697 2.6719
Au 0.0000 0.0000 0.0000
Au 2.4362 1.6335 -1.4152
Au 2.4362 -1.6335 3.9285
Au 2.4362 1.6335 1.4152
Au 2.4362 -1.6335 6.7589
Au 0.0000 0.0000 5.3437
Au 1.6335 5.7033 -1.4152
Au 1.6335 2.4362 3.9285
Au 1.6335 5.7033 1.4152
Au 1.6335 2.4362 6.7589
```

Principal peaks in the range 2θ from 5° to 70°, most intense first:
two_theta, I/Imax
40.38, 100
31.08, 78
25.86, 46
35.25, 45
46.80, 33
22.71, 31


Record 2
Structure and calculated X-ray diffraction stick pattern of MgPd2Au4 (the PBE geometry in Alexandria; Cu Kα (weighted mean of Kα1 and Kα2)).
No peak broadening, texture or thermal motion is included.

```
7
Lattice="-3.3720 3.3720 2.8379 3.3720 -3.3720 2.8379 3.3720 3.3720 -2.8379" Properties=species:S:1:pos:R:3 pbc="T T T"
Mg 0.0000 0.0000 0.0000
Pd 3.3720 0.0000 2.1755
Pd 0.0000 3.3720 2.1755
Au 1.8997 1.8997 0.7463
Au 1.4723 -1.4723 3.5842
Au -1.4723 1.4723 3.5842
Au 1.4723 1.4723 3.5842
```

Principal peaks in the range 2θ from 5° to 70°, most intense first:
two_theta, I/Imax
41.59, 100
37.73, 61
26.43, 42
43.29, 21
31.53, 19
51.44, 19


Record 3
Structure and calculated X-ray diffraction stick pattern of Mg2Pd12Au5 (the PBE geometry in Alexandria; Cu Kα (weighted mean of Kα1 and Kα2)).
No peak broadening, texture or thermal motion is included.

```
19
Lattice="6.9402 -4.6817 0.0000 6.9402 4.6817 0.0000 -1.0697 0.0000 4.8205" Properties=species:S:1:pos:R:3 pbc="T T T"
Mg 6.9402 2.3840 0.0000
Mg 6.9402 -2.3840 0.0000
Pd 3.3285 2.3315 3.8357
Pd 1.5506 0.0000 0.0443
Pd 5.1509 2.3238 1.8481
Pd 7.6598 2.3238 2.9725
Pd 5.4242 0.0000 3.4259
Pd 9.4822 2.3315 0.9849
Pd 3.3285 -2.3315 3.8357
Pd 7.3865 0.0000 1.3946
Pd 5.1509 -2.3238 1.8481
Pd 7.6598 -2.3238 2.9725
Pd 11.2601 0.0000 4.7762
Pd 9.4822 -2.3315 0.9849
Au -0.5349 0.0000 2.4103
Au 2.4178 0.0000 2.6699
Au 4.4716 0.0000 0.6011
Au 8.3391 0.0000 4.2194
Au 10.3929 0.0000 2.1506
```

Principal peaks in the range 2θ from 5° to 70°, most intense first:
two_theta, I/Imax
40.58, 100
38.46, 62
35.62, 57
37.71, 37
41.69, 34
45.22, 28


Record 4
Structure and calculated X-ray diffraction stick pattern of MgPd8Au2 (the PBE geometry in Alexandria; Cu Kα (weighted mean of Kα1 and Kα2)).
No peak broadening, texture or thermal motion is included.

```
11
Lattice="3.7341 -6.3688 0.0000 3.7341 6.3688 0.0000 -3.0918 0.0000 3.9290" Properties=species:S:1:pos:R:3 pbc="T T T"
Mg 0.0000 0.0000 0.0000
Pd -0.3464 1.4403 2.4745
Pd 3.7341 3.6692 0.0000
Pd -0.3464 -1.4403 2.4745
Pd 2.5329 0.0000 0.7175
Pd 1.8435 0.0000 3.2114
Pd 4.7229 1.4403 1.4545
Pd 3.7341 -3.6692 0.0000
Pd 4.7229 -1.4403 1.4545
Au 2.1882 2.4496 1.9645
Au 2.1882 -2.4496 1.9645
```

Principal peaks in the range 2θ from 5° to 70°, most intense first:
two_theta, I/Imax
39.73, 100
37.22, 69
40.64, 59
38.77, 46
41.86, 41
36.31, 30


Record 5
Structure and calculated X-ray diffraction stick pattern of Mg2Pd7Au2 (the PBE geometry in Alexandria; Cu Kα (weighted mean of Kα1 and Kα2)).
No peak broadening, texture or thermal motion is included.

```
11
Lattice="4.9687 0.0000 0.0000 -2.0941 6.1461 0.0000 -2.1406 -0.8577 6.1144" Properties=species:S:1:pos:R:3 pbc="T T T"
Mg -0.8485 2.0045 2.3283
Mg 1.5826 3.2840 3.7861
Pd 0.0000 0.0000 0.0000
Pd -2.0133 1.7583 5.6431
Pd -1.9850 5.3203 2.5326
Pd -0.8643 3.8584 4.4681
Pd 1.5983 1.4300 1.6463
Pd 2.7191 -0.0319 3.5818
Pd 2.7473 3.5301 0.4713
Au 0.3495 0.4445 4.9747
Au 0.3846 4.8439 1.1398
```

Principal peaks in the range 2θ from 5° to 70°, most intense first:
two_theta, I/Imax
41.49, 100
14.52, 37
39.50, 37
19.09, 27
38.74, 26
41.24, 25


Record 6
Structure and calculated X-ray diffraction stick pattern of MgPd3Au4 (the PBE geometry in Alexandria; Cu Kα (weighted mean of Kα1 and Kα2)).
No peak broadening, texture or thermal motion is included.

```
8
Lattice="2.8543 -4.0650 0.0000 2.8543 4.0650 0.0000 -0.0141 0.0000 5.7910" Properties=species:S:1:pos:R:3 pbc="T T T"
Mg 0.0000 0.0000 0.0000
Pd 1.4239 2.0313 1.4391
Pd 4.2707 2.0313 4.3518
Pd 2.8543 -0.0036 0.0000
Au 2.8473 4.0626 2.8955
Au 1.4174 2.0318 4.3991
Au 4.2772 2.0318 1.3919
Au 2.8473 -0.0024 2.8955
```

Principal peaks in the range 2θ from 5° to 70°, most intense first:
two_theta, I/Imax
38.16, 100
38.54, 98
44.55, 65
64.88, 42
44.63, 32
15.30, 18


Record 7
Structure and calculated X-ray diffraction stick pattern of Mg2Pd2Au5 (the PBE geometry in Alexandria; Cu Kα (weighted mean of Kα1 and Kα2)).
No peak broadening, texture or thermal motion is included.

```
9
Lattice="8.4123 0.0000 0.0000 0.0000 2.3339 4.0159 0.0000 -2.3339 4.0159" Properties=species:S:1:pos:R:3 pbc="T T T"
Mg 0.0000 0.0000 0.0000
Mg 4.2062 0.0000 2.6749
Pd 2.7769 0.0000 5.3518
Pd 5.6354 0.0000 5.3518
Au 0.0000 0.0000 5.3509
Au 1.4507 0.0000 2.6747
Au 2.7770 0.0000 0.0020
Au 5.6353 0.0000 0.0020
Au 6.9616 0.0000 2.6747
```

Principal peaks in the range 2θ from 5° to 70°, most intense first:
two_theta, I/Imax
39.14, 100
38.77, 77
24.50, 41
38.58, 39
56.16, 24
30.73, 20


Record 8
Structure and calculated X-ray diffraction stick pattern of Mg2Pd6Au (the PBE geometry in Alexandria; Cu Kα (weighted mean of Kα1 and Kα2)).
No peak broadening, texture or thermal motion is included.

```
18
Lattice="8.3603 0.0000 0.0000 0.0000 8.3603 0.0000 0.0000 0.0000 4.0964" Properties=species:S:1:pos:R:3 pbc="T T T"
Mg 1.4509 1.4509 0.0000
Mg 2.7293 5.6310 2.0482
Mg 5.6310 2.7293 2.0482
Mg 6.9094 6.9094 0.0000
Pd 0.0245 2.8021 2.0482
Pd 1.3581 7.0022 0.0000
Pd 1.3781 4.2046 0.0000
Pd 2.8021 0.0245 2.0482
Pd 2.8221 2.8221 2.0482
Pd 4.1557 6.9822 0.0000
Pd 4.2046 1.3781 0.0000
Pd 5.5382 5.5382 2.0482
Pd 5.5582 8.3358 2.0482
Pd 6.9822 4.1557 0.0000
Pd 7.0022 1.3581 0.0000
Pd 8.3358 5.5582 2.0482
Au 0.0000 0.0000 2.0482
Au 4.1802 4.1802 0.0000
```

Principal peaks in the range 2θ from 5° to 70°, most intense first:
two_theta, I/Imax
39.09, 100
46.06, 31
65.76, 21
44.22, 18
24.19, 12
67.18, 10


Record 9
Structure and calculated X-ray diffraction stick pattern of Mg5Pd2Au2 (the PBE geometry in Alexandria; Cu Kα (weighted mean of Kα1 and Kα2)).
No peak broadening, texture or thermal motion is included.

```
9
Lattice="8.6090 0.0000 0.0000 0.0000 2.3133 4.0176 0.0000 -2.3133 4.0176" Properties=species:S:1:pos:R:3 pbc="T T T"
Mg 0.0000 0.0000 0.0000
Mg 1.5407 0.0000 2.6756
Mg 2.8635 0.0000 5.3451
Mg 5.7455 0.0000 5.3451
Mg 7.0683 0.0000 2.6756
Pd 2.8445 0.0000 8.0201
Pd 5.7644 0.0000 8.0201
Au 0.0000 0.0000 5.3658
Au 4.3045 0.0000 2.6687
```

Principal peaks in the range 2θ from 5° to 70°, most intense first:
two_theta, I/Imax
24.48, 100
38.88, 87
38.57, 79
30.46, 40
55.92, 27
46.48, 19


Record 10
Structure and calculated X-ray diffraction stick pattern of Mg8Pd5Au (the PBE geometry in Alexandria; Cu Kα (weighted mean of Kα1 and Kα2)).
No peak broadening, texture or thermal motion is included.

```
14
Lattice="-3.9640 3.9640 4.0304 3.9640 -3.9640 4.0304 3.9640 3.9640 -4.0304" Properties=species:S:1:pos:R:3 pbc="T T T"
Mg 1.3731 -0.6731 2.2111
Mg 2.5908 4.6371 -1.8193
Mg 0.5593 2.5912 0.5798
Mg 3.2908 2.5908 1.8193
Mg -0.5593 5.3367 0.5798
Mg -1.3727 3.4046 3.4507
Mg 0.6731 1.3731 5.8497
Mg 1.3727 4.5233 3.4507
Pd 0.0000 0.0000 0.0000
Pd 3.0276 2.1658 -0.7897
Pd 1.7982 -0.9363 4.8201
Pd 0.9363 1.7982 3.2407
Pd 2.1658 4.9003 0.7897
Au 3.9640 0.0000 2.0152
```

Principal peaks in the range 2θ from 5° to 70°, most intense first:
two_theta, I/Imax
27.48, 100
35.79, 82
27.25, 49
35.27, 44
42.46, 34
42.20, 28


Record 11
Structure and calculated X-ray diffraction stick pattern of MgPd4Au (the PBE geometry in Alexandria; Cu Kα (weighted mean of Kα1 and Kα2)).
No peak broadening, texture or thermal motion is included.

```
6
Lattice="2.0057 -5.9044 0.0000 2.0057 5.9044 0.0000 0.0000 0.0000 4.0347" Properties=species:S:1:pos:R:3 pbc="T T T"
Mg 0.0000 0.0000 0.0000
Pd 2.0057 3.9272 2.0173
Pd 2.0057 1.9728 0.0000
Pd 2.0057 -1.9728 0.0000
Pd 2.0057 -3.9272 2.0173
Au 2.0057 0.0000 2.0173
```

Principal peaks in the range 2θ from 5° to 70°, most intense first:
two_theta, I/Imax
39.07, 100
44.93, 17
45.21, 16
46.12, 16
23.42, 13
65.64, 11


Record 12
Structure and calculated X-ray diffraction stick pattern of Mg4Pd3Au3 (the PBE geometry in Alexandria; Cu Kα (weighted mean of Kα1 and Kα2)).
No peak broadening, texture or thermal motion is included.

```
20
Lattice="-4.5239 4.5239 4.5239 4.5239 -4.5239 4.5239 4.5239 4.5239 -4.5239" Properties=species:S:1:pos:R:3 pbc="T T T"
Mg 3.4496 1.0742 -1.0742
Mg 5.7115 -1.1877 1.1877
Mg 1.0742 1.0742 1.0742
Mg 1.0742 -1.0742 3.4496
Mg -1.0742 3.4496 1.0742
Mg 1.1877 5.7115 -1.1877
Mg 3.3362 3.3362 3.3362
Mg -1.1877 1.1877 5.7115
Pd 4.5239 -2.2619 3.3929
Pd 3.3929 4.5239 -2.2619
Pd 4.5239 2.2619 1.1310
Pd 2.2619 1.1310 4.5239
Pd 1.1310 4.5239 2.2619
Pd -2.2619 3.3929 4.5239
Au 6.7858 1.1310 0.0000
Au 3.3929 0.0000 2.2619
Au 2.2619 3.3929 0.0000
Au 0.0000 2.2619 3.3929
Au 1.1310 0.0000 6.7858
Au 0.0000 6.7858 1.1310
```

Principal peaks in the range 2θ from 5° to 70°, most intense first:
two_theta, I/Imax
37.18, 100
24.09, 94
44.80, 87
27.89, 39
55.64, 31
63.37, 21